Starting from DFT lattice parameters and positions (PBE+U), the X-ray diffraction stick pattern of NaCrF5 was computed for Cu Ka.
Peak positions follow from Bragg's law for the DFT cell and can differ from measured ones.

Structure:
Cell: 5.588 5.588 5.588 Å, 139.51 108.09 85.92°
Sites, in units of the cell vectors:
Na 0.000 0.000 0.000
Cr 0.500 0.500 0.000
F 0.220 0.500 0.720
F 0.278 0.278 0.000
F 0.500 0.000 0.500
F 0.722 0.722 0.000
F 0.780 0.500 0.280

The 6 most intense peaks (2θ from 5° to 70°), low angle first:
- 17.3 deg, rel. 84
- 21.7 deg, rel. 100
- 25.5 deg, rel. 43
- 26.8 deg, rel. 95
- 27.2 deg, rel. 57
- 44.3 deg, rel. 36